No. 1
# LiTaGeO5
Simulated powder diffraction line list, a wavelength of 1.5418 Å. Input: a DFT-relaxed cell (PBE, the Materials Project).
Lines closer than 0.1° are merged.

The 10 most intense peaks (5 to 70 degrees two-theta), in order of falling intensity:
- 25.92°, I 100.0, hkl 1 1 -2
- 17.10°, I 78.7, hkl 1 1 0
- 26.69°, I 60.1, hkl 2 0 0
- 37.55°, I 43.5, hkl 3 1 -2
- 35.40°, I 39.7, hkl 1 3 0
- 21.62°, I 36.8, hkl 0 2 0
- 34.91°, I 33.5, hkl 0 2 2
- 52.49°, I 31.5, hkl 0 4 2
- 66.68°, I 18.6, hkl 4 4 -2
- 61.11°, I 17.6, hkl 1 3 -4

Structure:
Unit cell a=7.672 b=8.221 c=7.568 alpha=90.00 beta=119.46 gamma=90.00
Space group C2/c (No. 15)
Asymmetric unit:
Li  0.000  0.192  0.250 [4 per cell]
Ta  0.000  0.500  0.000 [4 per cell]
Ge  0.000  0.140  0.750 [4 per cell]
O  0.000  0.433  0.250 [4 per cell]
O  0.002  0.264  0.559 [8 per cell]
O  0.199  0.002  0.350 [8 per cell]

No. 2
# MgCrFeS4
Simulated powder diffraction line list, a wavelength of 1.5418 Å. Input: a DFT-relaxed cell (PBE, the Materials Project).
Lines closer than 0.1° are merged.

The 10 most intense peaks (5 to 70 degrees two-theta), in order of falling intensity:
- 15.22°, I 100.0, hkl 0 1 1
- 35.56°, I 73.1, hkl 2 2 0
- 51.32°, I 67.4, hkl 2 2 4
- 29.35°, I 52.1, hkl 2 1 1
- 46.75°, I 39.7, hkl 2 3 1
- 35.76°, I 36.5, hkl 0 0 4
- 51.17°, I 33.7, hkl 4 0 0
- 29.47°, I 27.8, hkl 0 1 3
- 46.99°, I 19.0, hkl 0 1 5
- 64.00°, I 18.6, hkl 4 0 4

Structure:
Unit cell a=7.136 b=7.146 c=10.043 alpha=90.00 beta=90.00 gamma=90.00
Space group Imma (No. 74)
Asymmetric unit:
Mg  0.000  0.250  0.127 [4 per cell]
Cr  0.000  0.000  0.500 [4 per cell]
Fe  0.250  0.250  0.750 [4 per cell]
S  0.000  0.039  0.740 [8 per cell]
S  0.227  0.250  0.518 [8 per cell]